Starting from the PBE+U geometry in Alexandria, the X-ray diffraction stick pattern of VCuO3 was simulated for copper Kα.
No peak broadening, texture or thermal motion is included.

Most intense lines, 2θ from 5° to 70°, by intensity:
- 2θ 34.6, I = 100.0
- 2θ 62.0, I = 47.6
- 2θ 49.7, I = 28.1
- 2θ 42.7, I = 6.3
- 2θ 38.8, I = 6.0
- 2θ 46.3, I = 3.8
- 2θ 24.3, I = 1.2
- 2θ 56.1, I = 0.6
- 2θ 29.8, I = 0.5

Structural model:
Cell: 6.3516 6.3516 6.3516 Å, 109.47 109.47 109.47°
Element x y z (fractional)
V  0.0000  0.0000  0.5000
V  0.0000  0.5000  0.0000
V  0.5000  0.0000  0.0000
V  0.5000  0.5000  0.5000
Cu  0.0000  0.0000  0.0000
Cu  0.0000  0.5000  0.5000
Cu  0.5000  0.0000  0.5000
Cu  0.5000  0.5000  0.0000
O  0.1233  0.8188  0.3045
O  0.1812  0.3045  0.4857
O  0.1812  0.6955  0.8767
O  0.3045  0.1233  0.8188
O  0.3045  0.4857  0.1812
O  0.4857  0.1812  0.3045
O  0.5143  0.8188  0.6955
O  0.6955  0.5143  0.8188
O  0.6955  0.8767  0.1812
O  0.8188  0.3045  0.1233
O  0.8188  0.6955  0.5143
O  0.8767  0.1812  0.6955